Simulated powder X-ray diffraction pattern of Na4B5C3 for copper Kα, from a structure optimized by DFT (PBE).
Intensities are scaled so that the largest is 100.

Structural model:
```
24
Lattice="2.810 0.000 0.000 0.000 8.539 0.000 0.000 0.000 10.114" Properties=species:S:1:pos:R:3 pbc="T T T"
Na 0.703 0.007 1.247
Na 0.703 0.012 6.326
Na 0.703 4.263 1.247
Na 0.703 4.257 6.326
Na 2.108 4.282 3.788
Na 2.108 4.276 8.867
Na 2.108 8.527 3.788
Na 2.108 8.532 8.867
B 0.703 2.135 3.154
B 0.703 2.135 7.964
B 0.703 6.404 4.569
B 0.703 6.404 8.085
B 0.703 6.404 9.828
B 2.108 2.135 0.286
B 2.108 2.135 2.029
B 2.108 2.135 5.545
B 2.108 6.404 2.150
B 2.108 6.404 6.960
C 0.703 2.135 4.717
C 0.703 2.135 9.589
C 0.703 6.404 2.961
C 2.108 2.135 7.153
C 2.108 6.404 0.524
C 2.108 6.404 5.397
```

The 10 most intense peaks (10° ≤ 2θ ≤ 80°), by angle:
d_spacing, I (rel.)
2.528, 11
2.456, 17
2.176, 49
2.135, 39
2.129, 100
1.611, 10
1.446, 17
1.405, 8
1.231, 13
1.212, 6

Simulated powder X-ray diffraction pattern of MgNi7B5 for copper Kα, from a structure optimized by DFT (PBE).
Intensities are scaled so that the largest is 100.

Structural model:
```
13
Lattice="-2.176 3.645 3.719 2.176 -3.645 3.719 2.176 3.645 -3.719" Properties=species:S:1:pos:R:3 pbc="T T T"
Mg 0.000 0.000 0.000
Ni 2.176 1.391 -0.238
Ni 2.176 0.000 1.715
Ni 0.000 0.000 2.518
Ni 0.000 2.463 0.225
Ni 0.000 0.000 4.901
Ni 0.000 4.827 0.225
Ni 0.000 2.254 3.480
B 1.242 1.854 1.879
B 3.110 1.854 1.879
B 0.000 3.645 1.941
B -0.934 1.791 5.597
B 0.934 1.791 5.597
```

The 10 most intense peaks (10° ≤ 2θ ≤ 80°), by angle:
d_spacing, I (rel.)
5.206, 38
2.603, 73
2.347, 31
2.176, 100
2.154, 67
2.122, 94
1.854, 51
1.843, 79
1.670, 56
1.665, 32